This entry pairs a crystal structure of Mg2CuGe2Pt5 with its theoretical X-ray powder pattern. Radiation: Cu Kα, 1.54184 Å. Structure: a cell relaxed with GGA-PBE.
Peak positions follow from Bragg's law for the DFT cell and can differ from measured ones.

Crystal structure
abc: 9.3217 9.3217 3.7394
angles: 90.00 90.00 90.00
Sites, in units of the cell vectors:
Mg: 0.1692 0.3308 0.0000
Mg: 0.3308 0.8308 0.0000
Mg: 0.6692 0.1692 0.0000
Mg: 0.8308 0.6692 0.0000
Cu: 0.0000 0.0000 0.0000
Cu: 0.5000 0.5000 0.0000
Ge: 0.1325 0.6325 0.0000
Ge: 0.3675 0.1325 0.0000
Ge: 0.6325 0.8675 0.0000
Ge: 0.8675 0.3675 0.0000
Pt: 0.0000 0.5000 0.5000
Pt: 0.0714 0.8028 0.5000
Pt: 0.1972 0.0714 0.5000
Pt: 0.3028 0.5714 0.5000
Pt: 0.4286 0.3028 0.5000
Pt: 0.5000 0.0000 0.5000
Pt: 0.5714 0.6972 0.5000
Pt: 0.6972 0.4286 0.5000
Pt: 0.8028 0.9286 0.5000
Pt: 0.9286 0.1972 0.5000

Top 10 peaks for 2θ from 10° to 90°, sorted by position:
Position (°2θ)  I/Imax
21.3  38
23.8  52
30.3  19
38.9  100
39.9  34
42.5  47
47.0  37
48.7  25
64.7  16
76.6  18